For CaEr2Ir9, DFT lattice parameters and positions (GGA-PBE) gives the computed powder X-ray diffraction pattern in this record (a wavelength of 1.5418 Å).
Kinematic intensities with the Lorentz-polarization factor, no thermal factor.

Structure:
abc: 9.2501 9.2501 9.2501
angles: 33.39 33.39 33.39
Element x y z (fractional)
1 Ca 0.0000 0.0000 0.0000
2 Er 0.1384 0.1384 0.1384
3 Er 0.8616 0.8616 0.8616
4 Ir 0.0826 0.5826 0.5826
5 Ir 0.3329 0.3329 0.3329
6 Ir 0.4174 0.4174 0.9174
7 Ir 0.4174 0.9174 0.4174
8 Ir 0.5000 0.5000 0.5000
9 Ir 0.5826 0.0826 0.5826
10 Ir 0.5826 0.5826 0.0826
11 Ir 0.6671 0.6671 0.6671
12 Ir 0.9174 0.4174 0.4174

Top 10 peaks for 2θ = 10–90°, sorted by position:
two_theta  I_rel
19.58  402
39.30  260
39.72  1000
41.39  248
41.60  199
42.77  272
42.93  558
46.32  253
64.36  241
70.94  269